# 1
For Nd2InBPd6, a crystal structure in Alexandria, relaxed with PBE gives the simulated X-ray powder pattern in this record (copper Kα).

Structure:
a b c (Å): 5.817 8.804 7.576
angles (deg): 90.00 90.00 90.00
Space group Pmmn (No. 59, origin choice 2)
Unique sites:
Nd: 0.250 0.029 0.222 [4 per cell]
In: 0.250 0.750 0.835 [2 per cell]
B: 0.250 0.250 0.672 [2 per cell]
Pd: 0.010 0.250 0.877 [4 per cell]
Pd: 0.013 0.750 0.517 [4 per cell]
Pd: 0.250 0.011 0.640 [4 per cell]

Peak list (10 most intense, 10° ≤ 2θ ≤ 90°, low angle first)
- 2θ = 28.0°, rel. 46, (1 2 1)
- 2θ = 31.1°, rel. 51, (0 2 2)
- 2θ = 34.6°, rel. 26, (2 1 1)
- 2θ = 34.8°, rel. 62, (1 2 2)
- 2θ = 37.0°, rel. 100, (2 2 0)
- 2θ = 38.9°, rel. 28, (1 0 3)
- 2θ = 39.0°, rel. 58, (2 0 2)
- 2θ = 40.4°, rel. 39, (2 1 2)
- 2θ = 41.0°, rel. 56, (0 4 0)
- 2θ = 41.2°, rel. 31, (0 2 3)


# 2
For Nd2In2BPt4, a crystal structure in Alexandria, relaxed with PBE gives the simulated X-ray powder pattern in this record (copper Kα).

Structure:
a b c (Å): 6.574 6.574 8.572
angles (deg): 90.00 90.00 90.00
Space group I4/mmm (No. 139)
Unique sites:
Nd: 0.000 0.000 0.197 [4 per cell]
In: 0.000 0.500 0.250 [4 per cell]
B: 0.000 0.000 0.500 [2 per cell]
Pt: 0.227 0.227 0.500 [8 per cell]

Peak list (10 most intense, 10° ≤ 2θ ≤ 90°, low angle first)
- 2θ = 34.2°, rel. 9, (1 0 3)
- 2θ = 34.4°, rel. 100, (2 0 2)
- 2θ = 38.7°, rel. 39, (2 2 0)
- 2θ = 42.2°, rel. 12, (0 0 4)
- 2θ = 42.6°, rel. 7, (3 0 1)
- 2θ = 56.0°, rel. 12, (4 0 0)
- 2θ = 58.6°, rel. 16, (2 2 4)
- 2θ = 60.2°, rel. 9, (3 2 3)
- 2θ = 67.3°, rel. 23, (4 2 2)
- 2θ = 72.5°, rel. 7, (4 0 4)


# 3
For InNi12B5, a crystal structure in Alexandria, relaxed with PBE gives the simulated X-ray powder pattern in this record (copper Kα).

Structure:
a b c (Å): 6.797 6.831 7.661
angles (deg): 90.00 90.00 90.00
Space group Immm (No. 71)
Unique sites:
In: 0.000 0.000 0.000 [2 per cell]
Ni: 0.000 0.186 0.286 [8 per cell]
Ni: 0.182 0.500 0.318 [8 per cell]
Ni: 0.219 0.321 0.000 [8 per cell]
B: 0.000 0.000 0.500 [2 per cell]
B: 0.000 0.358 0.500 [4 per cell]
B: 0.000 0.500 0.115 [4 per cell]

Peak list (10 most intense, 10° ≤ 2θ ≤ 90°, low angle first)
- 2θ = 31.6°, rel. 19, (2 1 1)
- 2θ = 37.6°, rel. 52, (1 0 3)
- 2θ = 41.4°, rel. 52, (0 3 1)
- 2θ = 42.0°, rel. 52, (3 1 0)
- 2θ = 44.4°, rel. 100, (2 2 2)
- 2θ = 46.4°, rel. 62, (2 1 3)
- 2θ = 48.4°, rel. 57, (1 3 2)
- 2θ = 49.7°, rel. 36, (3 2 1)
- 2θ = 74.7°, rel. 28, (0 3 5)
- 2θ = 87.3°, rel. 21, (5 3 2)


# 4
For Th2InNi12B3, a crystal structure in Alexandria, relaxed with PBE gives the simulated X-ray powder pattern in this record (copper Kα).

Structure:
a b c (Å): 6.9670 6.9670 17.7991
angles (deg): 90.00 90.00 120.00
Space group R-3m (No. 166, hexagonal axes)
Unique sites:
Th: 0.0000 0.0000 0.0977 [6 per cell]
In: 0.0000 0.0000 0.5000 [3 per cell]
Ni: 0.0679 0.5340 0.3085 [18 per cell]
Ni: 0.0864 0.5432 0.8949 [18 per cell]
B: 0.0000 0.5000 0.0000 [9 per cell]

Peak list (10 most intense, 10° ≤ 2θ ≤ 90°, low angle first)
- 2θ = 25.6°, rel. 43, (1 1 0)
- 2θ = 29.7°, rel. 29, (1 1 3)
- 2θ = 30.1°, rel. 27, (0 2 1)
- 2θ = 38.4°, rel. 29, (1 0 7)
- 2θ = 39.1°, rel. 100, (2 0 5)
- 2θ = 40.8°, rel. 57, (1 2 2)
- 2θ = 47.7°, rel. 24, (0 3 3)
- 2θ = 52.5°, rel. 27, (2 2 0)
- 2θ = 60.4°, rel. 27, (0 2 10)
- 2θ = 61.2°, rel. 23, (3 1 5)